No. 1
Cu3As: computed powder diffraction line list (a wavelength of 1.5418 Å), based on the PBE geometry in the Materials Project.
Neutral-atom scattering factors, no anomalous dispersion.

```
data_Cu3As
_chemical_formula_sum 'Cu18 As6'
_space_group_name_H-M_alt 'P -3 c 1'
_space_group_IT_number 165
_space_group_name_Hall '-P 3 2"c'
_cell_length_a 7.1907
_cell_length_b 7.1907
_cell_length_c 7.4048
_cell_angle_alpha 90.00
_cell_angle_beta 90.00
_cell_angle_gamma 120.00
loop_
_atom_site_label
_atom_site_type_symbol
_atom_site_fract_x
_atom_site_fract_y
_atom_site_fract_z
Cu1 Cu 0.0000 0.0000 0.2500
Cu2 Cu 0.0540 0.3701 0.4191
Cu3 Cu 0.3333 0.6667 0.1536
As1 As 0.0000 0.3367 0.7500
```

Peak list (10 most intense, 5° ≤ 2θ ≤ 70°, by intensity)
| Position (°2θ) | I_rel | h k l |
| --- | --- | --- |
| 43.60 | 100 | 3 0 0 |
| 44.53 | 94 | 1 1 3 |
| 37.75 | 27 | 0 2 2 |
| 64.07 | 23 | 2 2 3 |
| 40.20 | 20 | 2 1 1 |
| 45.68 | 15 | 2 1 2 |
| 50.40 | 8 | 3 0 2 |
| 51.50 | 8 | 1 0 4 |
| 24.76 | 8 | 1 1 0 |
| 34.78 | 7 | 1 1 2 |



No. 2
Th2S3: computed powder diffraction line list (a wavelength of 1.5418 Å), based on the PBE geometry in the Materials Project.
Neutral-atom scattering factors, no anomalous dispersion.

```
data_Th2S3
_chemical_formula_sum 'Th8 S12'
_space_group_name_H-M_alt 'P n m a'
_space_group_IT_number 62
_space_group_name_Hall '-P 2ac 2n'
_cell_length_a 10.893
_cell_length_b 3.939
_cell_length_c 10.879
_cell_angle_alpha 90.00
_cell_angle_beta 90.00
_cell_angle_gamma 90.00
loop_
_atom_site_label
_atom_site_type_symbol
_atom_site_fract_x
_atom_site_fract_y
_atom_site_fract_z
Th1 Th 0.015 0.250 0.184
Th2 Th 0.196 0.250 0.512
S1 S 0.052 0.750 0.376
S2 S 0.125 0.250 0.944
S3 S 0.222 0.750 0.703
```

Peak list (10 most intense, 5° ≤ 2θ ≤ 70°, by intensity)
| Position (°2θ) | I_rel | h k l |
| --- | --- | --- |
| 25.88 | 100 | 3 0 1 |
| 23.11 | 93 | 2 0 2 |
| 29.16 | 78 | 1 1 2 |
| 34.61 | 73 | 1 1 3 |
| 48.78 | 49 | 5 0 3 |
| 41.16 | 46 | 1 1 4 |
| 43.71 | 45 | 4 1 2 |
| 25.40 | 45 | 1 1 1 |
| 69.36 | 35 | 5 2 3 |
| 24.03 | 34 | 0 1 1 |



No. 3
Rb2MgTi2Zn2O2F10: computed powder diffraction line list (a wavelength of 1.5418 Å), based on the PBE geometry in the Materials Project.
Neutral-atom scattering factors, no anomalous dispersion.

```
data_Rb2MgTi2Zn2O2F10
_chemical_formula_sum 'Rb4 Mg2 Ti4 Zn4 O4 F20'
_space_group_name_H-M_alt 'C 1 2/m 1'
_space_group_IT_number 12
_space_group_name_Hall '-C 2y'
_cell_length_a 12.035
_cell_length_b 7.306
_cell_length_c 7.318
_cell_angle_alpha 90.00
_cell_angle_beta 118.18
_cell_angle_gamma 90.00
loop_
_atom_site_label
_atom_site_type_symbol
_atom_site_fract_x
_atom_site_fract_y
_atom_site_fract_z
Rb1 Rb 0.178 0.000 0.011
Mg1 Mg 0.000 0.000 0.500
Ti1 Ti 0.250 0.250 0.500
Zn1 Zn 0.000 0.500 0.000
Zn2 Zn 0.000 0.500 0.500
O1 O 0.210 0.500 0.540
F1 F 0.072 0.500 0.800
F2 F 0.116 0.282 0.188
F3 F 0.125 0.184 0.616
```

Peak list (10 most intense, 5° ≤ 2θ ≤ 70°, by intensity)
| Position (°2θ) | I_rel | h k l |
| --- | --- | --- |
| 28.05 | 100 | 3 1 0 |
| 27.66 | 57 | 0 0 2 |
| 29.20 | 42 | 2 2 -1 |
| 25.40 | 37 | 3 1 -1 |
| 52.17 | 35 | 6 2 -2 |
| 29.91 | 31 | 3 1 -2 |
| 57.99 | 29 | 6 2 0 |
| 37.19 | 28 | 0 2 2 |
| 29.73 | 23 | 4 0 -1 |
| 39.35 | 23 | 3 1 -3 |



No. 4
SmTmO3: computed powder diffraction line list (a wavelength of 1.5418 Å), based on the PBE geometry in the Materials Project.
Neutral-atom scattering factors, no anomalous dispersion.

```
data_SmTmO3
_chemical_formula_sum 'Sm4 Tm4 O12'
_space_group_name_H-M_alt 'P n m a'
_space_group_IT_number 62
_space_group_name_Hall '-P 2ac 2n'
_cell_length_a 5.993
_cell_length_b 8.403
_cell_length_c 5.731
_cell_angle_alpha 90.00
_cell_angle_beta 90.00
_cell_angle_gamma 90.00
loop_
_atom_site_label
_atom_site_type_symbol
_atom_site_fract_x
_atom_site_fract_y
_atom_site_fract_z
Sm1 Sm 0.053 0.250 0.017
Tm1 Tm 0.000 0.000 0.500
O1 O 0.067 0.750 0.365
O2 O 0.190 0.572 0.813
```

Peak list (10 most intense, 5° ≤ 2θ ≤ 70°, by intensity)
| Position (°2θ) | I_rel | h k l |
| --- | --- | --- |
| 30.30 | 100 | 1 2 1 |
| 53.24 | 26 | 2 4 0 |
| 29.82 | 22 | 2 0 0 |
| 54.98 | 22 | 1 2 3 |
| 31.21 | 22 | 0 0 2 |
| 43.71 | 19 | 2 0 2 |
| 63.03 | 13 | 2 4 2 |
| 43.06 | 12 | 0 4 0 |
| 54.13 | 11 | 0 4 2 |
| 49.52 | 5 | 3 1 1 |



No. 5
Rb2LaF5: computed powder diffraction line list (a wavelength of 1.5418 Å), based on the PBE geometry in the Materials Project.
Neutral-atom scattering factors, no anomalous dispersion.

```
data_Rb2LaF5
_chemical_formula_sum 'Rb8 La4 F20'
_space_group_name_H-M_alt 'P n a 21'
_space_group_IT_number 33
_space_group_name_Hall 'P 2c -2n'
_cell_length_a 11.670
_cell_length_b 7.093
_cell_length_c 7.884
_cell_angle_alpha 90.00
_cell_angle_beta 90.00
_cell_angle_gamma 90.00
loop_
_atom_site_label
_atom_site_type_symbol
_atom_site_fract_x
_atom_site_fract_y
_atom_site_fract_z
Rb1 Rb 0.171 0.029 0.000
Rb2 Rb 0.171 0.033 0.506
La1 La 0.002 0.564 0.752
F1 F 0.011 0.895 0.752
F2 F 0.076 0.646 0.469
F3 F 0.077 0.645 0.034
F4 F 0.164 0.371 0.744
F5 F 0.192 0.337 0.251
```

Peak list (10 most intense, 5° ≤ 2θ ≤ 70°, by intensity)
| Position (°2θ) | I_rel | h k l |
| --- | --- | --- |
| 26.13 | 100 | 3 1 0 |
| 26.98 | 90 | 1 1 2 |
| 27.30 | 56 | 2 0 2 |
| 25.11 | 47 | 0 2 0 |
| 37.43 | 46 | 2 2 2 |
| 53.72 | 42 | 3 1 4 |
| 47.02 | 36 | 5 1 2 |
| 38.38 | 28 | 4 0 2 |
| 46.05 | 24 | 0 0 4 |
| 14.61 | 22 | 1 1 0 |



No. 6
Pr4ZrCo25: computed powder diffraction line list (a wavelength of 1.5418 Å), based on the PBE geometry in the Materials Project.
Neutral-atom scattering factors, no anomalous dispersion.

```
data_Pr4ZrCo25
_chemical_formula_sum 'Pr8 Zr2 Co50'
_space_group_name_H-M_alt 'C m m m'
_space_group_IT_number 65
_space_group_name_Hall '-C 2 2'
_cell_length_a 4.980
_cell_length_b 43.204
_cell_length_c 3.969
_cell_angle_alpha 90.00
_cell_angle_beta 90.00
_cell_angle_gamma 90.00
loop_
_atom_site_label
_atom_site_type_symbol
_atom_site_fract_x
_atom_site_fract_y
_atom_site_fract_z
Pr1 Pr 0.000 0.098 0.000
Pr2 Pr 0.000 0.300 0.000
Zr1 Zr 0.000 0.500 0.000
Co1 Co 0.000 0.000 0.500
Co2 Co 0.000 0.030 0.000
Co3 Co 0.000 0.166 0.000
Co4 Co 0.000 0.200 0.500
Co5 Co 0.000 0.233 0.000
Co6 Co 0.000 0.367 0.000
Co7 Co 0.000 0.401 0.500
Co8 Co 0.000 0.436 0.000
Co9 Co 0.239 0.453 0.500
Co10 Co 0.250 0.149 0.500
Co11 Co 0.250 0.250 0.500
```

Peak list (10 most intense, 5° ≤ 2θ ≤ 70°, by intensity)
| Position (°2θ) | I_rel | h k l |
| --- | --- | --- |
| 42.85 | 100 | 2 0 1 |
| 30.60 | 44 | 1 5 1 |
| 41.85 | 34 | 2 10 0 |
| 36.04 | 30 | 2 0 0 |
| 45.72 | 27 | 0 0 2 |
| 69.49 | 21 | 3 15 1 |
| 63.70 | 19 | 2 10 2 |
| 59.55 | 14 | 2 0 2 |
| 61.44 | 12 | 3 5 1 |
| 47.98 | 9 | 2 10 1 |



No. 7
Cs2RbAuBr6: computed powder diffraction line list (a wavelength of 1.5418 Å), based on the PBE geometry in the Materials Project.
Neutral-atom scattering factors, no anomalous dispersion.

```
data_Cs2RbAuBr6
_chemical_formula_sum 'Cs8 Rb4 Au4 Br24'
_space_group_name_H-M_alt 'F m -3 m'
_space_group_IT_number 225
_space_group_name_Hall '-F 4 2 3'
_cell_length_a 11.880
_cell_length_b 11.880
_cell_length_c 11.880
_cell_angle_alpha 90.00
_cell_angle_beta 90.00
_cell_angle_gamma 90.00
loop_
_atom_site_label
_atom_site_type_symbol
_atom_site_fract_x
_atom_site_fract_y
_atom_site_fract_z
Cs1 Cs 0.250 0.250 0.250
Rb1 Rb 0.000 0.000 0.000
Au1 Au 0.000 0.000 0.500
Br1 Br 0.000 0.000 0.275
```

Peak list (10 most intense, 5° ≤ 2θ ≤ 70°, by intensity)
| Position (°2θ) | I_rel | h k l |
| --- | --- | --- |
| 30.09 | 100 | 4 0 0 |
| 21.15 | 73 | 2 2 0 |
| 43.07 | 69 | 4 4 0 |
| 25.98 | 39 | 2 2 2 |
| 12.91 | 33 | 1 1 1 |
| 37.07 | 30 | 4 2 2 |
| 53.43 | 23 | 4 4 4 |
| 58.10 | 22 | 6 4 2 |
| 48.46 | 22 | 6 2 0 |
| 14.91 | 20 | 2 0 0 |



No. 8
Ce2Ge3Rh: computed powder diffraction line list (a wavelength of 1.5418 Å), based on the PBE geometry in the Materials Project.
Neutral-atom scattering factors, no anomalous dispersion.

```
data_Ce2Ge3Rh
_chemical_formula_sum 'Ce4 Ge6 Rh2'
_space_group_name_H-M_alt 'I m m 2'
_space_group_IT_number 44
_space_group_name_Hall 'I 2 -2'
_cell_length_a 4.078
_cell_length_b 4.281
_cell_length_c 14.942
_cell_angle_alpha 90.00
_cell_angle_beta 90.00
_cell_angle_gamma 90.00
loop_
_atom_site_label
_atom_site_type_symbol
_atom_site_fract_x
_atom_site_fract_y
_atom_site_fract_z
Ce1 Ce 0.000 0.000 0.000
Ce2 Ce 0.000 0.500 0.244
Ge1 Ge 0.000 0.000 0.419
Ge2 Ge 0.000 0.000 0.584
Ge3 Ge 0.000 0.500 0.827
Rh1 Rh 0.000 0.500 0.664
```

Peak list (10 most intense, 5° ≤ 2θ ≤ 70°, by intensity)
| Position (°2θ) | I_rel | h k l |
| --- | --- | --- |
| 32.61 | 100 | 1 1 2 |
| 37.30 | 30 | 1 0 5 |
| 36.67 | 24 | 0 1 5 |
| 42.22 | 23 | 0 2 0 |
| 44.43 | 19 | 2 0 0 |
| 47.60 | 18 | 0 1 7 |
| 57.59 | 17 | 1 2 5 |
| 28.28 | 15 | 1 0 3 |
| 62.96 | 14 | 2 2 0 |
| 67.15 | 13 | 2 1 7 |



No. 9
Sr3Al2In4: computed powder diffraction line list (a wavelength of 1.5418 Å), based on the PBE geometry in the Materials Project.
Neutral-atom scattering factors, no anomalous dispersion.

```
data_Sr3Al2In4
_chemical_formula_sum 'Sr12 Al8 In16'
_space_group_name_H-M_alt 'C 1 m 1'
_space_group_IT_number 8
_space_group_name_Hall 'C -2y'
_cell_length_a 11.224
_cell_length_b 5.321
_cell_length_c 18.280
_cell_angle_alpha 90.00
_cell_angle_beta 106.29
_cell_angle_gamma 90.00
loop_
_atom_site_label
_atom_site_type_symbol
_atom_site_fract_x
_atom_site_fract_y
_atom_site_fract_z
Sr1 Sr 0.000 0.000 0.000
Sr2 Sr 0.054 0.500 0.529
Sr3 Sr 0.164 0.500 0.332
Sr4 Sr 0.222 0.000 0.865
Sr5 Sr 0.332 0.000 0.666
Sr6 Sr 0.389 0.500 0.195
Al1 Al 0.074 0.500 0.131
Al2 Al 0.250 0.000 0.466
Al3 Al 0.315 0.000 0.065
Al4 Al 0.417 0.500 0.799
In1 In 0.017 0.500 0.857
In2 In 0.030 0.000 0.673
In3 In 0.153 0.500 0.732
In4 In 0.185 0.000 0.185
In5 In 0.203 0.500 0.009
In6 In 0.349 0.500 0.522
In7 In 0.363 0.000 0.340
In8 In 0.486 0.500 0.398
```

Peak list (10 most intense, 5° ≤ 2θ ≤ 70°, by intensity)
| Position (°2θ) | I_rel | h k l |
| --- | --- | --- |
| 30.36 | 100 | 3 1 -3 |
| 36.93 | 88 | 3 1 3 |
| 33.69 | 72 | 0 2 0 |
| 29.32 | 60 | 1 1 4 |
| 30.57 | 40 | 0 0 6 |
| 29.67 | 37 | 1 1 -5 |
| 58.22 | 33 | 1 1 10 |
| 15.80 | 28 | 2 0 -1 |
| 62.39 | 26 | 3 3 3 |
| 49.39 | 26 | 2 2 -7 |